Computed X-ray diffraction stick pattern of Sn3Se2Br2 for Cu Ka, from a cell relaxed with PBE.
No peak broadening, texture or thermal motion is included.

Most intense lines, 2θ = 10–80°, sorted by position:
2theta, I/Imax
28.4, 100
29.0, 24
32.8, 24
37.0, 17
43.0, 19
47.1, 17

Structural model:
Unit cell a=8.602 b=8.602 c=6.564 alpha=104.00 beta=104.00 gamma=28.28
Sites, in units of the cell vectors:
Sn 0.000 0.000 0.000
Sn 0.253 0.253 0.775
Sn 0.747 0.747 0.225
Se 0.158 0.158 0.347
Se 0.842 0.842 0.653
Br 0.419 0.419 0.203
Br 0.581 0.581 0.797

***

Computed X-ray diffraction stick pattern of Mg2InGa2 for Cu Ka, from a cell relaxed with PBE.
No peak broadening, texture or thermal motion is included.

Most intense lines, 2θ = 10–80°, sorted by position:
2theta, I/Imax
24.0, 27
30.5, 32
32.2, 42
34.2, 100
35.8, 60
37.4, 71

Structural model:
Unit cell a=8.298 b=8.298 c=3.153 alpha=90.00 beta=90.00 gamma=90.00
Sites, in units of the cell vectors:
Mg 0.134 0.366 0.000
Mg 0.366 0.866 0.000
Mg 0.634 0.134 0.000
Mg 0.866 0.634 0.000
In 0.000 0.000 0.000
In 0.500 0.500 0.000
Ga 0.165 0.665 0.500
Ga 0.335 0.165 0.500
Ga 0.665 0.835 0.500
Ga 0.835 0.335 0.500